Starting from a GGA-PBE-relaxed structure, the X-ray powder pattern of Cs2PrCuBr6 was computed for Cu Kα X-rays.
Lines closer than 0.1° are merged.

Crystal structure
```
data_Cs2PrCuBr6
_space_group_name_H-M_alt 'F m -3 m'
_space_group_IT_number 225
_space_group_name_Hall '-F 4 2 3'
_cell_length_a 11.2819
_cell_length_b 11.2819
_cell_length_c 11.2819
_cell_angle_alpha 90.00
_cell_angle_beta 90.00
_cell_angle_gamma 90.00
loop_
_atom_site_label
_atom_site_fract_x
_atom_site_fract_y
_atom_site_fract_z
Cs1 0.2500 0.2500 0.2500
Pr1 0.0000 0.0000 0.0000
Cu1 0.0000 0.0000 0.5000
Br1 0.0000 0.0000 0.2587
```

Principal peaks in the range 10 to 90 degrees two-theta, in order of rising 2θ:
| hkl | 2θ/deg | I_rel |
| --- | --- | --- |
| 2 2 0 | 22.3 | 50 |
| 2 2 2 | 27.4 | 62 |
| 4 0 0 | 31.7 | 100 |
| 4 2 2 | 39.1 | 23 |
| 4 4 0 | 45.5 | 71 |
| 6 2 2 | 53.9 | 26 |
| 4 4 4 | 56.5 | 25 |
| 6 4 2 | 61.5 | 12 |
| 8 4 0 | 75.4 | 31 |
| 8 4 4 | 84.1 | 23 |